Starting from a structure optimized by DFT (GGA-PBE), the X-ray powder pattern of Ga3Co4B2Ru3 was calculated for a wavelength of 1.5418 Å.
Peak positions follow from Bragg's law for the DFT cell and can differ from measured ones.

Crystal structure
```
Ga3Co4B2Ru3
1.0
-1.895 2.009 10.114
1.895 -2.009 10.114
1.895 2.009 -10.114
Ga Co B Ru
3 4 2 3
Direct
0.000 0.000 0.000
0.181 0.181 0.000
0.819 0.819 0.000
0.300 0.300 0.000
0.403 0.903 0.500
0.597 0.097 0.500
0.700 0.700 0.000
0.396 0.396 0.000
0.604 0.604 0.000
0.097 0.597 0.500
0.500 0.500 0.000
0.903 0.403 0.500
```

Peak list (6 most intense, 10° ≤ 2θ ≤ 80°, sorted by position)
d 2.420, 37.1°, rel. 718; d 2.134, 42.4°, rel. 1000; d 2.023, 44.8°, rel. 270; d 2.009, 45.1°, rel. 343; d 1.895, 48.0°, rel. 284; d 1.378, 68.0°, rel. 190

Starting from a structure optimized by DFT (GGA-PBE), the X-ray powder pattern of SrMg3F was calculated for a wavelength of 1.5418 Å.
Peak positions follow from Bragg's law for the DFT cell and can differ from measured ones.

Crystal structure
```
SrMg3F
1.0
5.008 0.000 0.000
0.000 5.008 0.000
0.000 0.000 5.008
Sr Mg F
1 3 1
Direct
0.000 0.000 0.000
0.000 0.500 0.500
0.500 0.000 0.500
0.500 0.500 0.000
0.500 0.500 0.500
```

Peak list (6 most intense, 10° ≤ 2θ ≤ 80°, sorted by position)
d 3.541, 25.1°, rel. 825; d 2.891, 30.9°, rel. 1000; d 2.504, 35.9°, rel. 813; d 2.044, 44.3°, rel. 342; d 1.770, 51.6°, rel. 545; d 1.510, 61.4°, rel. 421

Starting from a structure optimized by DFT (GGA-PBE), the X-ray powder pattern of TcIrPd was calculated for a wavelength of 1.5418 Å.
Peak positions follow from Bragg's law for the DFT cell and can differ from measured ones.

Crystal structure
```
TcIrPd
1.0
2.364 -4.163 0.000
2.364 4.163 0.000
-1.459 0.000 4.481
Tc Ir Pd
2 2 2
Direct
0.075 0.925 0.750
0.925 0.075 0.250
0.424 0.576 0.750
0.576 0.424 0.250
0.250 0.750 0.250
0.750 0.250 0.750
```

Peak list (6 most intense, 10° ≤ 2θ ≤ 80°, sorted by position)
d 2.246, 40.2°, rel. 1000; d 2.240, 40.3°, rel. 334; d 1.962, 46.3°, rel. 441; d 1.910, 47.6°, rel. 206; d 1.387, 67.5°, rel. 145; d 1.370, 68.5°, rel. 136

Starting from a structure optimized by DFT (GGA-PBE), the X-ray powder pattern of Th2Ga12Pd was calculated for a wavelength of 1.5418 Å.
Peak positions follow from Bragg's law for the DFT cell and can differ from measured ones.

Crystal structure
```
Th2Ga12Pd
1.0
6.179 0.000 0.000
0.000 6.179 0.000
0.000 0.000 15.377
Th Ga Pd
4 24 2
Direct
0.250 0.750 0.246
0.250 0.750 0.754
0.750 0.250 0.246
0.750 0.250 0.754
0.001 0.501 0.089
0.001 0.999 0.911
0.080 0.580 0.571
0.080 0.920 0.429
0.250 0.250 0.185
0.250 0.250 0.344
0.250 0.250 0.656
0.250 0.250 0.815
0.420 0.580 0.429
0.420 0.920 0.571
0.499 0.501 0.911
0.499 0.999 0.089
0.501 0.001 0.911
0.501 0.499 0.089
0.580 0.080 0.429
0.580 0.420 0.571
0.750 0.750 0.185
0.750 0.750 0.344
0.750 0.750 0.656
0.750 0.750 0.815
0.920 0.080 0.571
0.920 0.420 0.429
0.999 0.001 0.089
0.999 0.499 0.911
0.250 0.750 0.000
0.750 0.250 0.000
```

Peak list (6 most intense, 10° ≤ 2θ ≤ 80°, sorted by position)
d 2.886, 31.0°, rel. 831; d 2.867, 31.2°, rel. 1000; d 2.408, 37.3°, rel. 508; d 2.211, 40.8°, rel. 385; d 2.184, 41.3°, rel. 857; d 1.742, 52.5°, rel. 435

Starting from a structure optimized by DFT (GGA-PBE), the X-ray powder pattern of AcPrRu was calculated for a wavelength of 1.5418 Å.
Peak positions follow from Bragg's law for the DFT cell and can differ from measured ones.

Crystal structure
```
AcPrRu
1.0
0.000 3.592 3.592
3.592 0.000 3.592
3.592 3.592 0.000
Ac Pr Ru
1 1 1
Direct
0.000 0.000 0.000
0.500 0.500 0.500
0.750 0.750 0.750
```

Peak list (6 most intense, 10° ≤ 2θ ≤ 80°, sorted by position)
d 4.148, 21.4°, rel. 183; d 3.592, 24.8°, rel. 378; d 2.540, 35.3°, rel. 1000; d 1.796, 50.8°, rel. 179; d 1.606, 57.4°, rel. 160; d 1.466, 63.4°, rel. 369

Starting from a structure optimized by DFT (GGA-PBE), the X-ray powder pattern of Cd7Sn2 was calculated for a wavelength of 1.5418 Å.
Peak positions follow from Bragg's law for the DFT cell and can differ from measured ones.

Crystal structure
```
Cd7Sn2
1.0
5.435 0.000 0.000
-2.718 4.707 0.000
0.000 0.000 8.454
Cd Sn
7 2
Direct
0.000 0.000 0.000
0.000 0.332 0.660
0.000 0.668 0.340
0.332 0.000 0.660
0.332 0.332 0.340
0.668 0.000 0.340
0.668 0.668 0.660
0.333 0.667 0.000
0.667 0.333 0.000
```

Peak list (6 most intense, 10° ≤ 2θ ≤ 80°, sorted by position)
d 2.818, 31.8°, rel. 418; d 2.587, 34.7°, rel. 1000; d 2.286, 39.4°, rel. 697; d 1.668, 55.0°, rel. 257; d 1.569, 58.9°, rel. 209; d 1.371, 68.4°, rel. 262

Starting from a structure optimized by DFT (GGA-PBE), the X-ray powder pattern of Ta3NiRu was calculated for a wavelength of 1.5418 Å.
Peak positions follow from Bragg's law for the DFT cell and can differ from measured ones.

Crystal structure
```
Ta3NiRu
1.0
4.535 0.000 0.000
0.000 4.535 0.000
0.000 0.000 4.535
Ta Ni Ru
3 1 1
Direct
0.000 0.000 0.500
0.000 0.500 0.000
0.500 0.000 0.000
0.000 0.000 0.000
0.500 0.500 0.500
```

Peak list (6 most intense, 10° ≤ 2θ ≤ 80°, sorted by position)
d 4.535, 19.6°, rel. 178; d 2.618, 34.2°, rel. 1000; d 2.267, 39.8°, rel. 754; d 1.603, 57.5°, rel. 513; d 1.367, 68.6°, rel. 409; d 1.309, 72.2°, rel. 173

Starting from a structure optimized by DFT (GGA-PBE), the X-ray powder pattern of GaBiO was calculated for a wavelength of 1.5418 Å.
Peak positions follow from Bragg's law for the DFT cell and can differ from measured ones.

Crystal structure
```
GaBiO
1.0
3.165 0.000 0.000
0.000 5.605 0.000
0.000 0.000 3.350
Ga Bi O
1 1 1
Direct
0.000 0.000 0.000
0.000 0.500 0.256
0.500 0.000 0.699
```

Peak list (6 most intense, 10° ≤ 2θ ≤ 80°, sorted by position)
d 5.605, 15.8°, rel. 552; d 3.165, 28.2°, rel. 798; d 2.876, 31.1°, rel. 1000; d 2.803, 31.9°, rel. 746; d 2.301, 39.2°, rel. 533; d 2.128, 42.5°, rel. 694

Starting from a structure optimized by DFT (GGA-PBE), the X-ray powder pattern of GaCu3Au12 was calculated for a wavelength of 1.5418 Å.
Peak positions follow from Bragg's law for the DFT cell and can differ from measured ones.

Crystal structure
```
GaCu3Au12
1.0
4.120 0.000 0.000
0.000 4.120 0.000
0.000 0.000 16.024
Ga Cu Au
1 3 12
Direct
0.000 0.000 0.000
0.000 0.000 0.255
0.000 0.000 0.500
0.000 0.000 0.745
0.000 0.500 0.130
0.000 0.500 0.377
0.000 0.500 0.623
0.000 0.500 0.870
0.500 0.000 0.130
0.500 0.000 0.377
0.500 0.000 0.623
0.500 0.000 0.870
0.500 0.500 0.000
0.500 0.500 0.253
0.500 0.500 0.500
0.500 0.500 0.747
```

Peak list (6 most intense, 10° ≤ 2θ ≤ 80°, sorted by position)
d 2.356, 38.2°, rel. 1000; d 2.060, 43.9°, rel. 340; d 2.003, 45.3°, rel. 152; d 1.436, 64.9°, rel. 209; d 1.239, 76.9°, rel. 265; d 1.214, 78.8°, rel. 118

Starting from a structure optimized by DFT (GGA-PBE), the X-ray powder pattern of Pu3IrRh2 was calculated for a wavelength of 1.5418 Å.
Peak positions follow from Bragg's law for the DFT cell and can differ from measured ones.

Crystal structure
```
Pu3IrRh2
1.0
4.930 0.000 0.000
0.000 15.576 0.000
0.000 0.000 3.127
Pu Ir Rh
6 2 4
Direct
0.250 0.086 0.001
0.250 0.414 0.001
0.250 0.750 0.999
0.750 0.250 0.001
0.750 0.586 0.999
0.750 0.914 0.999
0.250 0.250 0.501
0.750 0.750 0.499
0.250 0.576 0.500
0.250 0.924 0.500
0.750 0.076 0.500
0.750 0.424 0.500
```

Peak list (6 most intense, 10° ≤ 2θ ≤ 80°, sorted by position)
d 2.596, 34.5°, rel. 331; d 2.465, 36.4°, rel. 285; d 2.354, 38.2°, rel. 1000; d 1.788, 51.1°, rel. 217; d 1.447, 64.4°, rel. 216; d 1.401, 66.8°, rel. 199

Starting from a structure optimized by DFT (GGA-PBE), the X-ray powder pattern of Al5ZnGa2 was calculated for a wavelength of 1.5418 Å.
Peak positions follow from Bragg's law for the DFT cell and can differ from measured ones.

Crystal structure
```
Al5ZnGa2
1.0
7.856 -3.171 0.000
7.856 3.171 0.000
-3.996 0.000 11.831
Al Zn Ga
20 4 8
Direct
0.004 0.404 0.644
0.139 0.827 0.917
0.173 0.861 0.583
0.199 0.247 0.963
0.215 0.492 0.177
0.247 0.199 0.463
0.397 0.415 0.498
0.404 0.004 0.144
0.415 0.397 0.998
0.492 0.215 0.677
0.508 0.785 0.323
0.585 0.603 0.002
0.596 0.996 0.856
0.603 0.585 0.502
0.753 0.801 0.537
0.785 0.508 0.823
0.801 0.753 0.037
0.827 0.139 0.417
0.861 0.173 0.083
0.996 0.596 0.356
0.038 0.587 0.850
0.413 0.962 0.650
0.587 0.038 0.350
0.962 0.413 0.150
0.121 0.669 0.686
0.224 0.743 0.357
0.257 0.776 0.143
0.331 0.879 0.814
0.669 0.121 0.186
0.743 0.224 0.857
0.776 0.257 0.643
0.879 0.331 0.314
```

Peak list (6 most intense, 10° ≤ 2θ ≤ 80°, sorted by position)
d 3.460, 25.7°, rel. 639; d 3.171, 28.1°, rel. 577; d 2.795, 32.0°, rel. 422; d 2.297, 39.2°, rel. 1000; d 2.163, 41.8°, rel. 373; d 2.013, 45.0°, rel. 353

Starting from a structure optimized by DFT (GGA-PBE), the X-ray powder pattern of Ca2Co12P7 was calculated for a wavelength of 1.5418 Å.
Peak positions follow from Bragg's law for the DFT cell and can differ from measured ones.

Crystal structure
```
Ca2Co12P7
1.0
9.032 0.000 0.000
-4.516 7.822 0.000
0.000 0.000 3.555
Ca Co P
2 12 7
Direct
0.000 0.000 0.000
0.333 0.667 0.500
0.049 0.768 0.500
0.101 0.392 0.000
0.232 0.281 0.500
0.291 0.899 0.000
0.395 0.214 0.000
0.535 0.098 0.500
0.563 0.465 0.500
0.608 0.709 0.000
0.719 0.951 0.500
0.786 0.181 0.000
0.819 0.605 0.000
0.902 0.437 0.500
0.071 0.626 0.000
0.265 0.042 0.500
0.374 0.446 0.000
0.554 0.929 0.000
0.667 0.333 0.000
0.777 0.735 0.500
0.958 0.223 0.500
```

Peak list (6 most intense, 10° ≤ 2θ ≤ 80°, sorted by position)
d 4.516, 19.7°, rel. 138; d 2.273, 39.7°, rel. 1000; d 1.852, 49.2°, rel. 255; d 1.794, 50.9°, rel. 177; d 1.777, 51.4°, rel. 213; d 1.707, 53.7°, rel. 170